The following is a theoretical powder XRD pattern of H6PdC2S2O6. It was derived from a DFT-relaxed cell (GGA-PBE, OQMD), using Cu Kα, 1.54184 Å.
Neutral-atom scattering factors, no anomalous dispersion.

Structure:
```
data_H6PdC2S2O6
_chemical_formula_sum 'H12 Pd2 C4 S4 O12'
_symmetry_space_group_name_H-M 'P 1 21/c 1'
_symmetry_Int_Tables_number 14
_symmetry_space_group_name_Hall '-P 2ybc'
_cell_length_a 4.786
_cell_length_b 10.529
_cell_length_c 7.811
_cell_angle_alpha 90.00
_cell_angle_beta 114.15
_cell_angle_gamma 90.00
loop_
_atom_site_label
_atom_site_type_symbol
_atom_site_fract_x
_atom_site_fract_y
_atom_site_fract_z
_atom_site_occupancy
H1 H 0.010 0.168 0.466 1
H2 H 0.170 0.222 0.853 1
H3 H 0.421 0.174 0.538 1
Pd1 Pd 0.500 0.000 0.000 1
C1 C 0.196 0.185 0.422 1
S1 S 0.162 0.068 0.255 1
O1 O 0.113 0.605 0.421 1
O2 O 0.138 0.557 0.823 1
O3 O 0.442 0.089 0.215 1
```

Most intense lines, 10 to 90 degrees two-theta, in order of falling intensity:
| index | 2θ (°) | I_rel |
| --- | --- | --- |
| 0 2 0 | 16.8 | 100 |
| 0 1 1 | 15.0 | 96 |
| 1 1 1 | 29.3 | 56 |
| 1 0 -2 | 25.0 | 34 |
| 2 1 -1 | 38.8 | 33 |
| 1 1 -3 | 35.9 | 29 |